[1]
Diffraction record for Zn4Ga2S7. The powder X-ray diffraction pattern is theoretical, not measured: it uses a GGA-PBE-relaxed structure and Cu Kα X-rays.
Intensities are scaled so that the largest is 100.

Crystal structure
```
data_Zn4Ga2S7
_chemical_formula_sum 'Zn8 Ga4 S14'
_cell_length_a 9.6913
_cell_length_b 6.9670
_cell_length_c 9.8293
_cell_angle_alpha 90.00
_cell_angle_beta 114.16
_cell_angle_gamma 90.00
_space_group_name_H-M_alt 'P 1'
_space_group_IT_number 1
_space_group_name_Hall 'P 1'
loop_
_atom_site_label
_atom_site_fract_x
_atom_site_fract_y
_atom_site_fract_z
_atom_site_occupancy
Zn1 0.0111 0.2500 0.0618 1
Zn2 0.0253 0.7500 0.4639 1
Zn3 0.4120 0.2500 0.8829 1
Zn4 0.4332 0.2500 0.2682 1
Zn5 0.5668 0.7500 0.7318 1
Zn6 0.5880 0.7500 0.1171 1
Zn7 0.9747 0.2500 0.5361 1
Zn8 0.9889 0.7500 0.9382 1
Ga1 0.2803 0.2500 0.5323 1
Ga2 0.3141 0.7500 0.2175 1
Ga3 0.6859 0.2500 0.7825 1
Ga4 0.7197 0.7500 0.4677 1
S1 0.0685 0.7500 0.1777 1
S2 0.1835 0.0139 0.6309 1
S3 0.1835 0.4861 0.6309 1
S4 0.1927 0.2500 0.2791 1
S5 0.4030 0.5096 0.1065 1
S6 0.4030 0.9904 0.1065 1
S7 0.4800 0.7500 0.4630 1
S8 0.5200 0.2500 0.5370 1
S9 0.5970 0.0096 0.8935 1
S10 0.5970 0.4904 0.8935 1
S11 0.8073 0.7500 0.7209 1
S12 0.8165 0.5139 0.3691 1
S13 0.8165 0.9861 0.3691 1
S14 0.9315 0.2500 0.8223 1
```

Top 6 peaks for 10 to 80 degrees two-theta, most intense first:
d_spacing	two_theta	Rel. int.
3.483	25.57	100.0
4.887	18.15	68.6
2.921	30.60	58.2
1.983	45.74	51.8
5.305	16.71	48.5
5.484	16.16	41.2

[2]
Diffraction record for Zn2Ga2S5. The powder X-ray diffraction pattern is theoretical, not measured: it uses a GGA-PBE-relaxed structure and Cu Kα X-rays.
Intensities are scaled so that the largest is 100.

Crystal structure
```
data_Zn2Ga2S5
_chemical_formula_sum 'Zn4 Ga4 S10'
_cell_length_a 3.7433
_cell_length_b 3.7433
_cell_length_c 30.3868
_cell_angle_alpha 90.00
_cell_angle_beta 90.00
_cell_angle_gamma 120.00
_space_group_name_H-M_alt 'P 1'
_space_group_IT_number 1
_space_group_name_Hall 'P 1'
loop_
_atom_site_label
_atom_site_fract_x
_atom_site_fract_y
_atom_site_fract_z
_atom_site_occupancy
Zn1 0.3333 0.6667 0.0000 1
Zn2 0.3333 0.6667 0.2582 1
Zn3 0.6667 0.3333 0.5000 1
Zn4 0.6667 0.3333 0.7582 1
Ga1 0.0000 0.0000 0.3773 1
Ga2 0.0000 0.0000 0.8773 1
Ga3 0.3333 0.6667 0.6514 1
Ga4 0.6667 0.3333 0.1514 1
S1 0.3333 0.6667 0.1224 1
S2 0.3333 0.6667 0.3318 1
S3 0.3333 0.6667 0.5244 1
S4 0.3333 0.6667 0.7271 1
S5 0.3333 0.6667 0.9166 1
S6 0.6667 0.3333 0.0244 1
S7 0.6667 0.3333 0.2271 1
S8 0.6667 0.3333 0.4166 1
S9 0.6667 0.3333 0.6224 1
S10 0.6667 0.3333 0.8318 1
```

Top 6 peaks for 10 to 80 degrees two-theta, most intense first:
d_spacing	two_theta	Rel. int.
1.872	48.65	100.0
3.087	28.92	95.0
3.798	23.42	91.4
1.718	53.33	57.5
1.679	54.67	50.9
3.170	28.15	49.3

[3]
Diffraction record for Zn3Ga2S6. The powder X-ray diffraction pattern is theoretical, not measured: it uses a GGA-PBE-relaxed structure and Cu Kα X-rays.
Intensities are scaled so that the largest is 100.

Crystal structure
```
data_Zn3Ga2S6
_chemical_formula_sum 'Zn6 Ga4 S12'
_cell_length_a 8.7982
_cell_length_b 8.7982
_cell_length_c 6.8804
_cell_angle_alpha 98.52
_cell_angle_beta 98.52
_cell_angle_gamma 111.27
_space_group_name_H-M_alt 'P 1'
_space_group_IT_number 1
_space_group_name_Hall 'P 1'
loop_
_atom_site_label
_atom_site_fract_x
_atom_site_fract_y
_atom_site_fract_z
_atom_site_occupancy
Zn1 0.1795 0.8205 0.7500 1
Zn2 0.3067 0.4800 0.4832 1
Zn3 0.4800 0.3067 0.9832 1
Zn4 0.5200 0.6933 0.0168 1
Zn5 0.6933 0.5200 0.5168 1
Zn6 0.8205 0.1795 0.2500 1
Ga1 0.0145 0.3280 0.8623 1
Ga2 0.3280 0.0145 0.3623 1
Ga3 0.6720 0.9855 0.6377 1
Ga4 0.9855 0.6720 0.1377 1
S1 0.0760 0.4653 0.2365 1
S2 0.0844 0.8625 0.4570 1
S3 0.1375 0.9156 0.0430 1
S4 0.2958 0.4289 0.8302 1
S5 0.4289 0.2958 0.3302 1
S6 0.4653 0.0760 0.7365 1
S7 0.5347 0.9240 0.2635 1
S8 0.5711 0.7042 0.6698 1
S9 0.7042 0.5711 0.1698 1
S10 0.8625 0.0844 0.9570 1
S11 0.9156 0.1375 0.5430 1
S12 0.9240 0.5347 0.7635 1
```

Top 6 peaks for 10 to 80 degrees two-theta, most intense first:
d_spacing	two_theta	Rel. int.
4.322	20.55	100.0
3.151	28.32	96.2
3.631	24.51	73.2
3.136	28.46	68.1
3.336	26.73	57.0
2.022	44.82	41.2

[4]
Diffraction record for Zn2Ga2S5. The powder X-ray diffraction pattern is theoretical, not measured: it uses a GGA-PBE-relaxed structure and Cu Kα X-rays.
Intensities are scaled so that the largest is 100.

Crystal structure
```
data_Zn2Ga2S5
_chemical_formula_sum 'Zn2 Ga2 S5'
_cell_length_a 15.4097
_cell_length_b 15.4097
_cell_length_c 15.4097
_cell_angle_alpha 13.96
_cell_angle_beta 13.96
_cell_angle_gamma 13.96
_space_group_name_H-M_alt 'P 1'
_space_group_IT_number 1
_space_group_name_Hall 'P 1'
loop_
_atom_site_label
_atom_site_fract_x
_atom_site_fract_y
_atom_site_fract_z
_atom_site_occupancy
Zn1 0.0000 0.0000 0.0000 1
Zn2 0.1722 0.1722 0.1722 1
Ga1 0.4045 0.4045 0.4045 1
Ga2 0.5875 0.5875 0.5875 1
S1 0.0905 0.0905 0.0905 1
S2 0.2281 0.2281 0.2281 1
S3 0.3542 0.3542 0.3542 1
S4 0.4894 0.4894 0.4894 1
S5 0.9510 0.9510 0.9510 1
```

Top 6 peaks for 10 to 80 degrees two-theta, most intense first:
d_spacing	two_theta	Rel. int.
3.058	29.21	100.0
1.873	48.61	87.5
3.814	23.32	74.6
2.072	43.69	47.9
1.751	52.23	47.7
2.647	33.87	47.1